Structure and theoretical XRD peak list of Ba4Y2Cu5O14 (a DFT-relaxed cell (PBE, Alexandria); CuKα).
Neutral-atom scattering factors, no anomalous dispersion.

Cell and atoms:
a b c (Å): 5.470 5.470 12.600
angles (deg): 102.15 102.15 89.79
Fractional coordinates of all 25 atoms:
Ba 0.250 0.750 0.000
Ba 0.458 0.958 0.389
Ba 0.750 0.250 0.000
Ba 0.958 0.458 0.389
Y 0.095 0.595 0.680
Y 0.595 0.095 0.680
Cu 0.041 0.041 0.568
Cu 0.169 0.169 0.833
Cu 0.344 0.344 0.184
Cu 0.670 0.670 0.834
Cu 0.845 0.845 0.186
O 0.058 0.558 0.184
O 0.267 0.267 0.029
O 0.280 0.280 0.572
O 0.281 0.805 0.572
O 0.409 0.907 0.811
O 0.411 0.411 0.814
O 0.436 0.436 0.334
O 0.558 0.058 0.184
O 0.769 0.769 0.031
O 0.805 0.281 0.572
O 0.806 0.806 0.572
O 0.907 0.409 0.811
O 0.909 0.909 0.814
O 0.937 0.937 0.338

Top 10 peaks for 2θ from 10° to 90°, low angle first:
d [Å]	2θ/deg	I_rel
3.866	23.0	230
3.246	27.5	239
2.802	31.9	449
2.781	32.2	822
2.771	32.3	500
2.735	32.7	1000
2.406	37.4	205
1.937	46.9	301
1.930	47.1	310
1.584	58.2	351

Structure and theoretical XRD peak list of Ba6YCu3O11 (a DFT-relaxed cell (PBE, Alexandria); CuKα).
Neutral-atom scattering factors, no anomalous dispersion.

Cell and atoms:
a b c (Å): 11.463 11.463 8.171
angles (deg): 100.26 100.26 20.43
Fractional coordinates of all 21 atoms:
Ba 0.000 0.000 0.000
Ba 0.000 0.000 0.494
Ba 0.179 0.179 0.086
Ba 0.179 0.179 0.586
Ba 0.807 0.807 0.399
Ba 0.807 0.807 0.901
Y 0.400 0.400 0.696
Cu 0.388 0.388 0.191
Cu 0.598 0.598 0.296
Cu 0.598 0.598 0.796
O 0.298 0.298 0.146
O 0.298 0.298 0.646
O 0.397 0.397 0.418
O 0.397 0.397 0.973
O 0.515 0.515 0.254
O 0.515 0.515 0.754
O 0.596 0.596 0.046
O 0.596 0.596 0.544
O 0.684 0.684 0.840
O 0.685 0.685 0.338
O 0.921 0.921 0.708

Top 10 peaks for 2θ from 10° to 90°, low angle first:
d [Å]	2θ/deg	I_rel
3.001	29.8	1000
2.882	31.0	624
2.273	39.6	156
2.219	40.7	122
2.043	44.3	147
2.033	44.6	146
1.758	52.0	178
1.688	54.3	200
1.684	54.5	166
1.441	64.7	89

Structure and theoretical XRD peak list of Ba2YCu4O6 (a DFT-relaxed cell (PBE, Alexandria); CuKα).
Neutral-atom scattering factors, no anomalous dispersion.

Cell and atoms:
a b c (Å): 13.838 13.838 3.914
angles (deg): 90.00 90.00 164.22
Fractional coordinates of all 13 atoms:
Ba 0.144 0.856 0.000
Ba 0.856 0.144 0.000
Y 0.000 0.000 0.000
Cu 0.290 0.710 0.500
Cu 0.439 0.561 0.500
Cu 0.561 0.439 0.500
Cu 0.710 0.290 0.500
O 0.219 0.781 0.500
O 0.361 0.639 0.500
O 0.449 0.551 0.000
O 0.551 0.449 0.000
O 0.639 0.361 0.500
O 0.781 0.219 0.500

Top 10 peaks for 2θ from 10° to 90°, low angle first:
d [Å]	2θ/deg	I_rel
3.399	26.2	228
2.972	30.1	467
2.727	32.8	1000
2.713	33.0	968
2.612	34.3	255
2.578	34.8	401
1.957	46.4	518
1.900	47.9	270
1.590	58.0	383
1.363	68.9	294

Structure and theoretical XRD peak list of Ba2YbCu3O7 (a DFT-relaxed cell (PBE, Alexandria); CuKα).
Neutral-atom scattering factors, no anomalous dispersion.

Cell and atoms:
a b c (Å): 3.840 3.903 11.879
angles (deg): 90.00 90.00 90.00
Fractional coordinates of all 13 atoms:
Ba 0.000 0.000 0.182
Ba 0.000 0.000 0.818
Yb 0.000 0.000 0.500
Cu 0.500 0.500 0.000
Cu 0.500 0.500 0.353
Cu 0.500 0.500 0.647
O 0.000 0.500 0.378
O 0.000 0.500 0.622
O 0.500 0.000 0.000
O 0.500 0.000 0.377
O 0.500 0.000 0.623
O 0.500 0.500 0.158
O 0.500 0.500 0.842

Top 10 peaks for 2θ from 10° to 90°, low angle first:
d [Å]	2θ/deg	I_rel
2.779	32.2	909
2.757	32.5	1000
2.737	32.7	937
2.252	40.0	305
1.980	45.8	185
1.951	46.5	276
1.920	47.3	262
1.604	57.4	348
1.593	57.9	375
1.580	58.4	333

Structure and theoretical XRD peak list of Ba3ZnCu2O6 (a DFT-relaxed cell (PBE, Alexandria); CuKα).
Neutral-atom scattering factors, no anomalous dispersion.

Cell and atoms:
a b c (Å): 5.986 5.986 6.861
angles (deg): 90.00 90.00 120.00
Fractional coordinates of all 12 atoms:
Ba 0.000 0.000 0.000
Ba 0.333 0.667 0.654
Ba 0.667 0.333 0.346
Zn 0.000 0.000 0.500
Cu 0.333 0.667 0.223
Cu 0.667 0.333 0.777
O 0.162 0.325 0.306
O 0.162 0.838 0.306
O 0.325 0.162 0.694
O 0.675 0.838 0.306
O 0.838 0.162 0.694
O 0.838 0.675 0.694

Top 10 peaks for 2θ from 10° to 90°, low angle first:
d [Å]	2θ/deg	I_rel
4.136	21.5	207
2.993	29.9	1000
2.861	31.3	788
2.425	37.1	142
2.068	43.8	457
1.728	53.0	197
1.701	53.9	340
1.497	62.0	171
1.326	71.1	192
1.124	86.6	141

Structure and theoretical XRD peak list of BaZnCu4O8 (a DFT-relaxed cell (PBE, Alexandria); CuKα).
Neutral-atom scattering factors, no anomalous dispersion.

Cell and atoms:
a b c (Å): 5.315 5.315 7.146
angles (deg): 90.00 90.00 120.00
Fractional coordinates of all 14 atoms:
Ba 0.000 0.000 0.000
Zn 0.000 0.000 0.500
Cu 0.333 0.667 0.263
Cu 0.333 0.667 0.737
Cu 0.667 0.333 0.263
Cu 0.667 0.333 0.737
O 0.000 0.313 0.320
O 0.000 0.687 0.680
O 0.313 0.000 0.320
O 0.313 0.313 0.680
O 0.333 0.667 0.000
O 0.667 0.333 0.000
O 0.687 0.000 0.680
O 0.687 0.687 0.320

Top 10 peaks for 2θ from 10° to 90°, low angle first:
d [Å]	2θ/deg	I_rel
2.822	31.7	1000
2.657	33.7	905
2.491	36.1	99
1.935	47.0	357
1.564	59.1	342
1.534	60.3	250
1.483	62.7	330
1.329	70.9	97
1.202	79.8	131
1.164	83.0	128

Structure and theoretical XRD peak list of BaCu4Os (a DFT-relaxed cell (PBE, Alexandria); CuKα).
Neutral-atom scattering factors, no anomalous dispersion.

Cell and atoms:
a b c (Å): 5.169 5.169 5.169
angles (deg): 60.00 60.00 60.00
Fractional coordinates of all 6 atoms:
Ba 0.000 0.000 0.000
Cu 0.133 0.622 0.622
Cu 0.622 0.133 0.622
Cu 0.622 0.622 0.133
Cu 0.622 0.622 0.622
Os 0.250 0.250 0.250

Top 10 peaks for 2θ from 10° to 90°, low angle first:
d [Å]	2θ/deg	I_rel
4.220	21.0	127
2.584	34.7	599
2.204	40.9	1000
2.110	42.9	173
1.492	62.2	223
1.407	66.5	308
1.292	73.3	225
1.156	83.7	99
1.115	87.5	110
1.102	88.8	55

Structure and theoretical XRD peak list of BaCu8P4 (a DFT-relaxed cell (PBE, Alexandria); CuKα).
Neutral-atom scattering factors, no anomalous dispersion.

Cell and atoms:
a b c (Å): 7.492 7.492 7.492
angles (deg): 93.81 93.81 150.12
Fractional coordinates of all 13 atoms:
Ba 0.000 0.000 0.000
Cu 0.013 0.366 0.379
Cu 0.230 0.661 0.891
Cu 0.339 0.230 0.569
Cu 0.366 0.987 0.354
Cu 0.634 0.013 0.646
Cu 0.661 0.770 0.431
Cu 0.770 0.339 0.109
Cu 0.987 0.634 0.621
P 0.233 0.424 0.657
P 0.424 0.767 0.191
P 0.576 0.233 0.809
P 0.767 0.576 0.343

Top 10 peaks for 2θ from 10° to 90°, low angle first:
d [Å]	2θ/deg	I_rel
3.237	27.6	443
2.952	30.3	370
2.557	35.1	1000
2.288	39.4	216
2.089	43.3	539
1.931	47.1	325
1.809	50.4	679
1.756	52.1	312
1.299	72.8	217
1.144	84.7	216

Structure and theoretical XRD peak list of BaCu9P4 (a DFT-relaxed cell (PBE, Alexandria); CuKα).
Neutral-atom scattering factors, no anomalous dispersion.

Cell and atoms:
a b c (Å): 8.372 8.372 8.372
angles (deg): 121.80 121.80 86.91
Fractional coordinates of all 28 atoms:
Ba 0.250 0.250 0.000
Ba 0.750 0.750 0.000
Cu 0.000 0.500 0.500
Cu 0.056 0.556 0.251
Cu 0.076 0.801 0.877
Cu 0.195 0.944 0.500
Cu 0.199 0.076 0.274
Cu 0.301 0.576 0.877
Cu 0.305 0.805 0.749
Cu 0.424 0.301 0.726
Cu 0.444 0.695 0.500
Cu 0.500 0.000 0.500
Cu 0.556 0.305 0.500
Cu 0.576 0.699 0.274
Cu 0.695 0.195 0.251
Cu 0.699 0.424 0.123
Cu 0.801 0.924 0.726
Cu 0.805 0.056 0.500
Cu 0.924 0.199 0.123
Cu 0.944 0.444 0.749
P 0.043 0.206 0.500
P 0.206 0.706 0.163
P 0.294 0.457 0.500
P 0.457 0.957 0.163
P 0.543 0.043 0.837
P 0.706 0.543 0.500
P 0.794 0.294 0.837
P 0.957 0.794 0.500

Top 10 peaks for 2θ from 10° to 90°, low angle first:
d [Å]	2θ/deg	I_rel
3.488	25.5	141
3.039	29.4	155
2.687	33.3	184
2.602	34.5	162
2.435	36.9	199
2.371	38.0	1000
2.023	44.8	456
1.973	46.0	441
1.949	46.6	231
1.821	50.1	122

Structure and theoretical XRD peak list of Ba2CuP (a DFT-relaxed cell (PBE, Alexandria); CuKα).
Neutral-atom scattering factors, no anomalous dispersion.

Cell and atoms:
a b c (Å): 4.376 4.574 12.447
angles (deg): 90.00 90.00 90.00
Fractional coordinates of all 8 atoms:
Ba 0.000 0.000 0.000
Ba 0.000 0.500 0.500
Ba 0.500 0.000 0.272
Ba 0.500 0.500 0.772
Cu 0.500 0.000 0.589
Cu 0.500 0.500 0.089
P 0.000 0.000 0.694
P 0.000 0.500 0.194

Top 10 peaks for 2θ from 10° to 90°, low angle first:
d [Å]	2θ/deg	I_rel
3.580	24.9	328
3.112	28.7	142
3.068	29.1	1000
2.515	35.7	321
2.287	39.4	155
2.188	41.3	164
1.927	47.2	118
1.875	48.6	141
1.782	51.3	168
1.450	64.2	120

Structure and theoretical XRD peak list of Ba2CuP3 (a DFT-relaxed cell (PBE, Alexandria); CuKα).
Neutral-atom scattering factors, no anomalous dispersion.

Cell and atoms:
a b c (Å): 8.725 8.609 6.502
angles (deg): 68.92 67.02 44.06
Fractional coordinates of all 12 atoms:
Ba 0.211 0.789 0.789
Ba 0.250 0.250 0.250
Ba 0.750 0.750 0.750
Ba 0.789 0.211 0.211
Cu 0.339 0.339 0.661
Cu 0.661 0.661 0.339
P 0.187 0.187 0.813
P 0.229 0.625 0.375
P 0.375 0.771 0.229
P 0.625 0.229 0.771
P 0.771 0.375 0.625
P 0.813 0.813 0.187

Top 10 peaks for 2θ from 10° to 90°, low angle first:
d [Å]	2θ/deg	I_rel
3.963	22.4	301
3.674	24.2	163
2.970	30.1	1000
2.843	31.5	383
2.799	32.0	132
2.353	38.2	170
2.243	40.2	141
2.173	41.6	295
1.813	50.3	185
1.561	59.2	155

Structure and theoretical XRD peak list of BaCu2P (a DFT-relaxed cell (PBE, Alexandria); CuKα).
Neutral-atom scattering factors, no anomalous dispersion.

Cell and atoms:
a b c (Å): 7.171 4.149 6.175
angles (deg): 90.00 112.92 90.00
Fractional coordinates of all 8 atoms:
Ba 0.000 0.000 0.000
Ba 0.500 0.500 0.000
Cu 0.190 0.000 0.570
Cu 0.495 0.000 0.483
Cu 0.690 0.500 0.570
Cu 0.995 0.500 0.483
P 0.304 0.500 0.411
P 0.804 0.000 0.411

Top 10 peaks for 2θ from 10° to 90°, low angle first:
d [Å]	2θ/deg	I_rel
3.512	25.4	447
3.308	26.9	566
2.844	31.5	518
2.746	32.6	1000
2.473	36.3	402
2.072	43.7	836
1.676	54.8	409
1.672	54.9	204
1.656	55.5	140
1.541	60.0	288